Theoretical PXRD pattern of Rb2RhBr6Cl for λ = 1.5418 Å (Cu Kα), from DFT lattice parameters and positions (PBE).
Neutral-atom scattering factors, no anomalous dispersion.

Crystal structure
```
Rb2RhBr6Cl
1.0
-3.813 3.813 5.823
3.813 -3.813 5.823
3.813 3.813 -5.823
Rb Rh Br Cl
2 1 6 1
direct
0.250 0.750 0.500
0.750 0.250 0.500
0.000 0.000 0.000
0.214 0.214 0.000
0.234 0.234 0.469
0.234 0.766 0.000
0.766 0.234 0.000
0.766 0.766 0.531
0.786 0.786 0.000
0.500 0.500 0.000
```

Largest 10 diffraction maxima, by angle, 2θ from 5° to 70°:
13.9 deg, 6.380 Å, intensity 40; 22.5 deg, 3.957 Å, intensity 21; 28.0 deg, 3.190 Å, intensity 100; 30.7 deg, 2.911 Å, intensity 43; 33.2 deg, 2.696 Å, intensity 80; 40.5 deg, 2.228 Å, intensity 16; 45.9 deg, 1.978 Å, intensity 53; 47.7 deg, 1.907 Å, intensity 27; 56.2 deg, 1.637 Å, intensity 25; 57.8 deg, 1.595 Å, intensity 25